Diffraction record for NiGeH12O6F6. The powder diffractogram is calculated, not measured: it uses a cell relaxed with PBE+U and a wavelength of 1.5418 Å.

Main lines, low angle first (2θ = 10–80°):
| Position (°2θ) | d [Å] | I (rel.) |
| --- | --- | --- |
| 18.42 | 4.817 | 1000 |
| 20.98 | 4.235 | 633 |
| 28.06 | 3.181 | 109 |
| 33.77 | 2.654 | 411 |
| 42.69 | 2.118 | 118 |
| 46.86 | 1.939 | 225 |
| 47.34 | 1.920 | 112 |
| 54.47 | 1.685 | 165 |

Crystal structure
```
NiGeH12O6F6
1.0
4.817 2.781 3.276
-4.817 2.781 3.276
0.000 -5.563 3.276
Ni Ge H O F
1 1 12 6 6
Direct
0.000 0.000 0.000
0.500 0.500 0.500
0.057 0.192 0.399
0.183 0.809 0.693
0.191 0.307 0.817
0.192 0.399 0.057
0.307 0.817 0.191
0.399 0.057 0.192
0.601 0.943 0.808
0.693 0.183 0.809
0.808 0.601 0.943
0.809 0.693 0.183
0.817 0.191 0.307
0.943 0.808 0.601
0.059 0.883 0.703
0.117 0.297 0.941
0.297 0.941 0.117
0.703 0.059 0.883
0.883 0.703 0.059
0.941 0.117 0.297
0.280 0.327 0.569
0.327 0.569 0.280
0.431 0.720 0.673
0.569 0.280 0.327
0.673 0.431 0.720
0.720 0.673 0.431
```